1.
Calculated powder diffractogram of Pm2SiNiPt6 for λ = 1.5418 Å (Cu Kα), from a GGA-PBE-relaxed structure.
Neutral-atom scattering factors, no anomalous dispersion.

Largest 10 diffraction maxima, by angle, 10° ≤ 2θ ≤ 80°:
(2 0 -2), 21.66°, I = 28; (1 1 -2), 28.74°, I = 31; (0 0 2), 29.31°, I = 41; (3 1 -2), 29.47°, I = 27; (4 0 -2), 30.72°, I = 39; (2 2 0), 39.00°, I = 100; (2 2 -2), 39.63°, I = 58; (4 0 0), 41.78°, I = 51; (5 1 -3), 43.23°, I = 21; (2 2 2), 58.11°, I = 22

Structural model:
```
data_Pm2SiNiPt6
_cell_length_a 11.6590
_cell_length_b 5.4636
_cell_length_c 8.2159
_cell_angle_alpha 90.00
_cell_angle_beta 132.11
_cell_angle_gamma 90.00
_symmetry_space_group_name_H-M 'C 1 2/m 1'
_symmetry_Int_Tables_number 12
_symmetry_space_group_name_Hall '-C 2y'
loop_
_atom_site_label
_atom_site_fract_x
_atom_site_fract_y
_atom_site_fract_z
Pm1 0.2332 0.0000 0.2005
Si1 0.0000 0.0000 0.5000
Ni1 0.0000 0.5000 0.0000
Pt1 0.0082 0.2537 0.7481
Pt2 0.2505 0.0000 0.6084
```


2.
Calculated powder diffractogram of Ce6PuGe3 for λ = 1.5418 Å (Cu Kα), from a GGA-PBE-relaxed structure.
Neutral-atom scattering factors, no anomalous dispersion.

Largest 10 diffraction maxima, by angle, 10° ≤ 2θ ≤ 80°:
(0 0 2), 13.57°, I = 57; (1 1 1), 15.21°, I = 84; (0 2 0), 16.54°, I = 46; (2 0 2), 25.69°, I = 100; (0 2 4), 32.11°, I = 41; (0 4 0), 33.44°, I = 67; (2 0 4), 35.17°, I = 65; (2 2 4), 39.09°, I = 53; (2 4 2), 42.64°, I = 47; (2 4 4), 49.31°, I = 46

Structural model:
```
data_Ce6PuGe3
_cell_length_a 8.1868
_cell_length_b 10.7201
_cell_length_c 13.0551
_cell_angle_alpha 90.00
_cell_angle_beta 90.00
_cell_angle_gamma 90.00
_symmetry_space_group_name_H-M 'F m m m'
_symmetry_Int_Tables_number 69
_symmetry_space_group_name_Hall '-F 2 2'
loop_
_atom_site_label
_atom_site_fract_x
_atom_site_fract_y
_atom_site_fract_z
Ce1 0.0000 0.2291 0.0000
Ce2 0.2157 0.0000 0.1307
Pu1 0.0000 0.0000 0.0000
Ge1 0.0000 0.0000 0.5000
Ge2 0.2500 0.2500 0.2500
```


3.
Calculated powder diffractogram of LaCeCdIn for λ = 1.5418 Å (Cu Kα), from a GGA-PBE-relaxed structure.
Neutral-atom scattering factors, no anomalous dispersion.

Largest 10 diffraction maxima, by angle, 10° ≤ 2θ ≤ 80°:
(1 1 1), 32.02°, I = 100; (0 0 2), 36.48°, I = 18; (0 2 0), 36.72°, I = 17; (2 0 0), 38.20°, I = 15; (0 2 2), 52.73°, I = 12; (2 0 2), 53.85°, I = 11; (1 1 3), 62.88°, I = 14; (1 3 1), 63.19°, I = 14; (3 1 1), 65.20°, I = 12; (2 2 2), 66.96°, I = 11

Structural model:
```
data_LaCeCdIn
_cell_length_a 4.7114
_cell_length_b 4.8954
_cell_length_c 4.9257
_cell_angle_alpha 90.00
_cell_angle_beta 90.00
_cell_angle_gamma 90.00
_symmetry_space_group_name_H-M 'P m m m'
_symmetry_Int_Tables_number 47
_symmetry_space_group_name_Hall '-P 2 2'
loop_
_atom_site_label
_atom_site_fract_x
_atom_site_fract_y
_atom_site_fract_z
La1 0.0000 0.0000 0.0000
Ce1 0.0000 0.5000 0.5000
Cd1 0.5000 0.5000 0.0000
In1 0.5000 0.0000 0.5000
```